Diffraction record for AlP2O11. The PXRD pattern is computed, not measured: it uses a cell relaxed with GGA-PBE and copper Kα.

Cell and atoms:
a b c (Å): 7.706 7.706 7.706
angles (deg): 73.38 73.38 73.38
Sites, in units of the cell vectors:
Al: 0.000 0.000 0.000
Al: 0.261 0.261 0.261
P: 0.108 0.403 0.879
P: 0.403 0.879 0.108
P: 0.632 0.632 0.632
P: 0.879 0.108 0.403
O: 0.019 0.242 0.905
O: 0.027 0.216 0.373
O: 0.051 0.942 0.760
O: 0.207 0.503 0.319
O: 0.216 0.373 0.027
O: 0.233 0.449 0.680
O: 0.242 0.905 0.019
O: 0.319 0.207 0.503
O: 0.373 0.027 0.216
O: 0.449 0.680 0.233
O: 0.503 0.319 0.207
O: 0.519 0.832 0.620
O: 0.539 0.539 0.539
O: 0.588 0.869 0.953
O: 0.620 0.519 0.832
O: 0.680 0.233 0.449
O: 0.760 0.051 0.942
O: 0.832 0.620 0.519
O: 0.869 0.953 0.588
O: 0.905 0.019 0.242
O: 0.942 0.760 0.051
O: 0.953 0.588 0.869

The 12 most intense peaks (15 to 90 degrees two-theta), sorted by position:
2θ/deg, I (rel.)
15.3, 8
19.3, 61
22.9, 7
25.1, 100
30.1, 14
31.6, 10
37.5, 5
37.7, 5
42.5, 12
49.4, 5
52.6, 7
54.8, 7